Starting from a crystal structure in Alexandria, relaxed with GGA-PBE, the XRD peak list of CuPb4W was computed for Cu Kα (λ = 1.5418 Å).

The 10 most intense peaks (2θ = 5–70°), in order of falling intensity:
| 2theta | I/Imax |
| --- | --- |
| 33.6 | 100 |
| 35.1 | 58 |
| 53.8 | 35 |
| 59.0 | 33 |
| 17.3 | 28 |
| 40.8 | 14 |
| 28.5 | 14 |
| 69.6 | 12 |
| 44.6 | 8 |
| 62.0 | 6 |

Atomic structure:
Cell lengths 8.853, 8.853, 8.853 Å; angles 90.00, 90.00, 90.00 degrees
Space group F-43m (No. 216)
Asymmetric unit:
Cu  0.000  0.000  0.000 x4
Pb  0.124  0.124  0.624 x16
W  0.250  0.250  0.250 x4